[1]
The following is a computed powder diffractogram of Y5Pa. It was derived from a DFT-relaxed cell (PBE, Alexandria), using Cu Kα, 1.54184 Å.
No peak broadening, texture or thermal motion is included.

Most intense lines, 5 to 70 degrees two-theta, by angle:
9.88°, intensity 18
15.95°, intensity 16
29.96°, intensity 29
30.58°, intensity 32
33.04°, intensity 100
43.34°, intensity 21
55.17°, intensity 17
55.93°, intensity 22
60.87°, intensity 9
69.32°, intensity 10

Atomic structure:
Unit cell a=9.414 b=9.414 c=3.565 alpha=90.00 beta=90.00 gamma=143.82
Atoms (fractional coordinates):
1 Y 0.000 0.000 0.000
2 Y 0.177 0.823 0.500
3 Y 0.349 0.651 0.000
4 Y 0.651 0.349 0.000
5 Y 0.823 0.177 0.500
6 Pa 0.500 0.500 0.500



[2]
The following is a computed powder diffractogram of CeGa3Ge3. It was derived from a DFT-relaxed cell (PBE, Alexandria), using Cu Kα, 1.54184 Å.
No peak broadening, texture or thermal motion is included.

Most intense lines, 5 to 70 degrees two-theta, by angle:
25.42°, intensity 43
31.27°, intensity 100
44.81°, intensity 14
48.62°, intensity 58
52.22°, intensity 24
58.95°, intensity 16
62.14°, intensity 14

Atomic structure:
Unit cell a=7.007 b=7.007 c=7.007 alpha=90.00 beta=90.00 gamma=90.00
Atoms (fractional coordinates):
1 Ce 0.000 0.000 0.000
2 Ce 0.500 0.500 0.500
3 Ga 0.000 0.250 0.500
4 Ga 0.000 0.750 0.500
5 Ga 0.250 0.500 0.000
6 Ga 0.500 0.000 0.250
7 Ga 0.500 0.000 0.750
8 Ga 0.750 0.500 0.000
9 Ge 0.000 0.500 0.250
10 Ge 0.000 0.500 0.750
11 Ge 0.250 0.000 0.500
12 Ge 0.500 0.250 0.000
13 Ge 0.500 0.750 0.000
14 Ge 0.750 0.000 0.500